Structure and simulated powder diffraction line list of Mg3Ga7 (a PBE-relaxed structure; a wavelength of 1.5418 Å).
No peak broadening, texture or thermal motion is included.

Cell lengths 8.0383, 8.0383, 5.8948 Å; angles 102.17, 102.17, 30.39 degrees
Element x y z (fractional)
1 Mg 0.0000 0.0000 0.0000
2 Mg 0.1947 0.1947 0.6031
3 Mg 0.8053 0.8053 0.3969
4 Ga 0.0000 0.0000 0.5000
5 Ga 0.2024 0.2024 0.1007
6 Ga 0.3993 0.3993 0.6972
7 Ga 0.4008 0.4008 0.1951
8 Ga 0.5992 0.5992 0.8049
9 Ga 0.6007 0.6007 0.3028
10 Ga 0.7976 0.7976 0.8993

Peak list (10 most intense, 10° ≤ 2θ ≤ 90°, in order of rising 2θ)
- 36.5°, 2.459 Å, I 100
- 37.2°, 2.415 Å, I 95
- 42.2°, 2.143 Å, I 34
- 42.9°, 2.107 Å, I 32
- 43.5°, 2.082 Å, I 30
- 61.7°, 1.502 Å, I 21
- 62.7°, 1.481 Å, I 20
- 73.0°, 1.297 Å, I 12
- 74.5°, 1.274 Å, I 12
- 74.8°, 1.269 Å, I 23

Structure and simulated powder diffraction line list of Sm2TmGa2Rh5 (a PBE-relaxed structure; a wavelength of 1.5418 Å).
No peak broadening, texture or thermal motion is included.

Cell lengths 10.1087, 10.1087, 3.5972 Å; angles 90.00, 90.00, 90.00 degrees
Element x y z (fractional)
1 Sm 0.1739 0.3261 0.0000
2 Sm 0.3261 0.8261 0.0000
3 Sm 0.6739 0.1739 0.0000
4 Sm 0.8261 0.6739 0.0000
5 Tm 0.0000 0.0000 0.0000
6 Tm 0.5000 0.5000 0.0000
7 Ga 0.1226 0.6226 0.0000
8 Ga 0.3774 0.1226 0.0000
9 Ga 0.6226 0.8774 0.0000
10 Ga 0.8774 0.3774 0.0000
11 Rh 0.0000 0.5000 0.5000
12 Rh 0.0697 0.7877 0.5000
13 Rh 0.2123 0.0697 0.5000
14 Rh 0.2877 0.5697 0.5000
15 Rh 0.4303 0.2877 0.5000
16 Rh 0.5000 0.0000 0.5000
17 Rh 0.5697 0.7123 0.5000
18 Rh 0.7123 0.4303 0.5000
19 Rh 0.7877 0.9303 0.5000
20 Rh 0.9303 0.2123 0.5000

Peak list (10 most intense, 10° ≤ 2θ ≤ 90°, in order of rising 2θ)
- 31.8°, 2.815 Å, I 24
- 35.4°, 2.535 Å, I 27
- 36.7°, 2.452 Å, I 43
- 37.6°, 2.389 Å, I 100
- 39.9°, 2.260 Å, I 23
- 40.8°, 2.211 Å, I 29
- 50.8°, 1.799 Å, I 19
- 60.7°, 1.526 Å, I 11
- 64.2°, 1.450 Å, I 16
- 71.0°, 1.328 Å, I 11

Question: Which formula does entry 2 have?
Answer: Sm2TmGa2Rh5